Computed powder X-ray diffraction pattern
Compound: Sr2In3Hg6
Radiation: Cu Kα, 1.54184 Å
Structure: a PBE-relaxed structure

Crystal structure
```
data_Sr2In3Hg6
_symmetry_space_group_name_H-M 'C m m m'
_symmetry_Int_Tables_number 65
_symmetry_space_group_name_Hall '-C 2 2'
_cell_length_a 10.078
_cell_length_b 15.167
_cell_length_c 4.196
_cell_angle_alpha 90.00
_cell_angle_beta 90.00
_cell_angle_gamma 90.00
loop_
_atom_site_label
_atom_site_type_symbol
_atom_site_fract_x
_atom_site_fract_y
_atom_site_fract_z
Sr1 Sr 0.210 0.000 0.000
In1 In 0.000 0.257 0.000
In2 In 0.000 0.500 0.500
Hg1 Hg 0.000 0.112 0.500
Hg2 Hg 0.191 0.340 0.500
```

Most intense lines, 5 to 70 degrees two-theta, sorted by position:
2θ/deg	I/Imax
21.2	70
30.1	100
31.8	89
32.0	79
34.7	50
37.7	27
38.7	67
39.9	37
43.1	42
54.7	51